Diffraction record for LiMnPO4. The X-ray diffraction stick pattern is calculated, not measured: it uses a cell relaxed with PBE+U and Cu Kα (λ = 1.5418 Å).
Lines closer than 0.1° are merged.

Main lines, most intense first (10 to 80 degrees two-theta):
Position (°2θ)	Rel. int.	h k l
33.61	100	2 2 0
24.41	46	1 1 1
20.10	33	1 0 1
34.39	30	1 2 1
50.02	24	2 2 2
59.60	19	5 2 1
23.32	18	2 1 0
35.95	15	0 0 2

Crystal structure
abc: 9.453 6.462 4.996
angles: 90.00 90.00 90.00
Positions (direct):
Li1 0.170 0.250 0.023
Li2 0.330 0.750 0.523
Li3 0.670 0.250 0.477
Li4 0.830 0.750 0.977
Mn1 0.000 0.000 0.500
Mn2 0.000 0.500 0.500
Mn3 0.500 0.000 0.000
Mn4 0.500 0.500 0.000
P1 0.179 0.750 0.020
P2 0.321 0.250 0.520
P3 0.679 0.750 0.480
P4 0.821 0.250 0.980
O1 0.121 0.551 0.151
O2 0.121 0.949 0.151
O3 0.141 0.750 0.715
O4 0.155 0.250 0.573
O5 0.345 0.750 0.073
O6 0.359 0.250 0.215
O7 0.379 0.051 0.651
O8 0.379 0.449 0.651
O9 0.621 0.551 0.349
O10 0.621 0.949 0.349
O11 0.641 0.750 0.785
O12 0.655 0.250 0.927
O13 0.845 0.750 0.427
O14 0.859 0.250 0.285
O15 0.879 0.051 0.849
O16 0.879 0.449 0.849